Record 1
Diffraction record for BiB. The X-ray diffraction stick pattern is theoretical, not measured: it uses a crystal structure in the Materials Project, relaxed with GGA-PBE and Cu Ka.

Structural model:
```
data_BiB
_chemical_formula_sum 'Bi2 B2'
_cell_length_a 3.9049
_cell_length_b 3.9049
_cell_length_c 6.4146
_cell_angle_alpha 90.00
_cell_angle_beta 90.00
_cell_angle_gamma 120.00
_space_group_name_H-M_alt 'P 63 m c'
_space_group_IT_number 186
_space_group_name_Hall 'P 6c -2c'
loop_
_atom_site_label
_atom_site_fract_x
_atom_site_fract_y
_atom_site_fract_z
Bi1 0.3333 0.6667 0.0000
B1 0.3333 0.6667 0.6252
```

Principal peaks in the range 2θ = 5–70°, most intense first:
(hkl)  Position (°2θ)  d_spacing  intensity
1 0 1  29.9  2.991  100.0
0 0 2  27.8  3.207  28.2
1 0 3  50.5  1.807  26.8
1 1 2  55.1  1.668  26.6
1 0 0  26.4  3.382  26.3
1 1 0  46.5  1.952  23.1

---

Record 2
Diffraction record for Nb4FeS8. The X-ray diffraction stick pattern is theoretical, not measured: it uses a crystal structure in the Materials Project, relaxed with GGA-PBE and Cu Ka.

Structural model:
```
data_Nb4FeS8
_chemical_formula_sum 'Nb8 Fe2 S16'
_cell_length_a 6.6466
_cell_length_b 6.6466
_cell_length_c 11.6795
_cell_angle_alpha 90.00
_cell_angle_beta 90.00
_cell_angle_gamma 120.00
_space_group_name_H-M_alt 'P 63/m m c'
_space_group_IT_number 194
_space_group_name_Hall '-P 6c 2c'
loop_
_atom_site_label
_atom_site_fract_x
_atom_site_fract_y
_atom_site_fract_z
Nb1 0.0000 0.0000 0.2500
Nb2 0.0125 0.5063 0.2500
Fe1 0.0000 0.0000 0.0000
S1 0.1644 0.3288 0.6153
S2 0.3333 0.6667 0.1120
```

Principal peaks in the range 2θ = 5–70°, most intense first:
(hkl)  Position (°2θ)  d_spacing  intensity
2 0 4  44.2  2.050  100.0
2 0 2  34.7  2.582  72.4
0 0 2  15.2  5.840  67.4
2 0 0  31.1  2.878  40.1
2 2 0  55.3  1.662  37.4
2 0 1  32.0  2.794  18.3

---

Record 3
Diffraction record for Ba5Ga5Pb. The X-ray diffraction stick pattern is theoretical, not measured: it uses a crystal structure in the Materials Project, relaxed with GGA-PBE and Cu Ka.

Structural model:
```
data_Ba5Ga5Pb
_chemical_formula_sum 'Ba5 Ga5 Pb1'
_cell_length_a 6.1374
_cell_length_b 6.1374
_cell_length_c 10.8873
_cell_angle_alpha 90.00
_cell_angle_beta 90.00
_cell_angle_gamma 120.00
_space_group_name_H-M_alt 'P -6 m 2'
_space_group_IT_number 187
_space_group_name_Hall 'P -6 2'
loop_
_atom_site_label
_atom_site_fract_x
_atom_site_fract_y
_atom_site_fract_z
Ba1 0.0000 0.0000 0.0000
Ba2 0.3333 0.6667 0.2055
Ba3 0.6667 0.3333 0.3325
Ga1 0.0000 0.0000 0.3268
Ga2 0.1832 0.3665 0.5000
Pb1 0.6667 0.3333 0.0000
```

Principal peaks in the range 2θ = 5–70°, most intense first:
(hkl)  Position (°2θ)  d_spacing  intensity
1 1 0  29.1  3.069  100.0
1 0 3  29.8  2.997  94.0
1 1 3  38.4  2.343  40.6
2 1 3  52.0  1.758  32.8
2 0 2  37.7  2.388  21.7
2 2 0  60.3  1.534  20.4

---

Record 4
Diffraction record for NaCd4Ge5O15. The X-ray diffraction stick pattern is theoretical, not measured: it uses a crystal structure in the Materials Project, relaxed with GGA-PBE and Cu Ka.

Structural model:
```
data_NaCd4Ge5O15
_chemical_formula_sum 'Na2 Cd8 Ge10 O30'
_cell_length_a 7.2467
_cell_length_b 8.1355
_cell_length_c 12.3673
_cell_angle_alpha 106.87
_cell_angle_beta 93.07
_cell_angle_gamma 94.54
_space_group_name_H-M_alt 'P -1'
_space_group_IT_number 2
loop_
_space_group_symop_operation_xyz
'x,y,z'
'-x,-y,-z'
loop_
_atom_site_label
_atom_site_fract_x
_atom_site_fract_y
_atom_site_fract_z
Na1 0.1279 0.3272 0.3622
Cd1 0.2296 0.7622 0.9768
Cd2 0.3287 0.9627 0.2644
Cd3 0.3705 0.1889 0.5551
Cd4 0.4367 0.4050 0.8502
Ge1 0.0744 0.5371 0.1691
Ge2 0.1399 0.7415 0.4452
Ge3 0.1881 0.9976 0.7729
Ge4 0.2791 0.1881 0.0445
Ge5 0.3755 0.6510 0.6478
O1 0.0275 0.0220 0.3055
O2 0.0566 0.5772 0.3181
O3 0.0660 0.1813 0.4975
O4 0.1216 0.3114 0.1352
O5 0.1329 0.0799 0.9165
O6 0.1451 0.4795 0.9005
O7 0.2080 0.6017 0.5273
O8 0.2539 0.6801 0.1487
O9 0.2592 0.7857 0.7653
O10 0.3262 0.8871 0.4364
O11 0.3376 0.0165 0.0939
O12 0.3657 0.1237 0.7330
O13 0.4222 0.4614 0.6781
O14 0.4254 0.2332 0.3787
O15 0.4663 0.3239 0.0243
```

Principal peaks in the range 2θ = 5–70°, most intense first:
(hkl)  Position (°2θ)  d_spacing  intensity
0 1 -4  29.0  3.075  100.0
0 2 2  31.1  2.871  95.5
2 1 -1  27.9  3.195  65.5
2 -1 0  26.2  3.396  49.6
2 0 -4  37.8  2.377  40.0
2 -2 1  32.0  2.799  39.5

---

Record 5
Diffraction record for NpCo2Ge2. The X-ray diffraction stick pattern is theoretical, not measured: it uses a crystal structure in the Materials Project, relaxed with GGA-PBE and Cu Ka.

Structural model:
```
data_NpCo2Ge2
_chemical_formula_sum 'Np2 Co4 Ge4'
_cell_length_a 4.0158
_cell_length_b 4.0158
_cell_length_c 9.7046
_cell_angle_alpha 90.00
_cell_angle_beta 90.00
_cell_angle_gamma 90.00
_space_group_name_H-M_alt 'I 4/m m m'
_space_group_IT_number 139
_space_group_name_Hall '-I 4 2'
loop_
_atom_site_label
_atom_site_fract_x
_atom_site_fract_y
_atom_site_fract_z
Np1 0.0000 0.0000 0.0000
Co1 0.0000 0.5000 0.2500
Ge1 0.0000 0.0000 0.3728
```

Principal peaks in the range 2θ = 5–70°, most intense first:
(hkl)  Position (°2θ)  d_spacing  intensity
1 0 3  35.6  2.519  100.0
1 1 2  36.7  2.451  97.6
2 0 0  45.2  2.008  56.2
2 1 3  58.8  1.570  47.8
1 1 0  31.5  2.840  38.9
1 0 1  24.0  3.711  35.6

---

Record 6
Diffraction record for Nb6AlGe. The X-ray diffraction stick pattern is theoretical, not measured: it uses a crystal structure in the Materials Project, relaxed with GGA-PBE and Cu Ka.

Structural model:
```
data_Nb6AlGe
_chemical_formula_sum 'Nb6 Al1 Ge1'
_cell_length_a 5.1938
_cell_length_b 5.1938
_cell_length_c 5.1938
_cell_angle_alpha 90.00
_cell_angle_beta 90.00
_cell_angle_gamma 90.00
_space_group_name_H-M_alt 'P m -3'
_space_group_IT_number 200
_space_group_name_Hall '-P 2 2 3'
loop_
_atom_site_label
_atom_site_fract_x
_atom_site_fract_y
_atom_site_fract_z
Nb1 0.0000 0.2500 0.5000
Al1 0.0000 0.0000 0.0000
Ge1 0.5000 0.5000 0.5000
```

Principal peaks in the range 2θ = 5–70°, most intense first:
(hkl)  Position (°2θ)  d_spacing  intensity
2 0 1  38.8  2.323  100.0
2 1 1  42.6  2.120  44.1
3 1 2  67.5  1.388  21.8
3 2 0  64.7  1.440  21.3
2 0 0  34.5  2.597  20.1
2 2 2  61.9  1.499  12.1

---

Record 7
Diffraction record for Ho5Ir3. The X-ray diffraction stick pattern is theoretical, not measured: it uses a crystal structure in the Materials Project, relaxed with GGA-PBE and Cu Ka.

Structural model:
```
data_Ho5Ir3
_chemical_formula_sum 'Ho20 Ir12'
_cell_length_a 10.8463
_cell_length_b 10.8463
_cell_length_c 6.3600
_cell_angle_alpha 90.00
_cell_angle_beta 90.00
_cell_angle_gamma 90.00
_space_group_name_H-M_alt 'P 4/n c c'
_space_group_IT_number 130
loop_
_space_group_symop_operation_xyz
'x,y,z'
'-x,-y,-z'
'-y+1/2,x,z'
'y+1/2,-x,-z'
'-x+1/2,-y+1/2,z'
'x+1/2,y+1/2,-z'
'y,-x+1/2,z'
'-y,x+1/2,-z'
'x+1/2,-y,-z+1/2'
'-x+1/2,y,z+1/2'
'-y,-x,-z+1/2'
'y,x,z+1/2'
'-x,y+1/2,-z+1/2'
'x,-y+1/2,z+1/2'
'y+1/2,x+1/2,-z+1/2'
'-y+1/2,-x+1/2,z+1/2'
loop_
_atom_site_label
_atom_site_fract_x
_atom_site_fract_y
_atom_site_fract_z
Ho1 0.0411 0.1621 0.1219
Ho2 0.2500 0.7500 0.0000
Ir1 0.0962 0.5962 0.7500
Ir2 0.2500 0.2500 0.3804
```

Principal peaks in the range 2θ = 5–70°, most intense first:
(hkl)  Position (°2θ)  d_spacing  intensity
4 2 0  37.0  2.428  100.0
2 1 2  33.7  2.659  41.6
3 1 1  29.6  3.019  37.6
3 2 1  32.9  2.719  33.4
3 1 2  38.6  2.332  25.2
2 1 3  46.8  1.943  21.0

---

Record 8
Diffraction record for LaZrF7. The X-ray diffraction stick pattern is theoretical, not measured: it uses a crystal structure in the Materials Project, relaxed with GGA-PBE and Cu Ka.

Structural model:
```
data_LaZrF7
_chemical_formula_sum 'La2 Zr2 F14'
_cell_length_a 6.3922
_cell_length_b 5.9166
_cell_length_c 8.5989
_cell_angle_alpha 90.00
_cell_angle_beta 101.92
_cell_angle_gamma 90.00
_space_group_name_H-M_alt 'P 1 21 1'
_space_group_IT_number 4
loop_
_space_group_symop_operation_xyz
'x,y,z'
'-x,y+1/2,-z'
loop_
_atom_site_label
_atom_site_fract_x
_atom_site_fract_y
_atom_site_fract_z
La1 0.1564 0.0000 0.1869
Zr1 0.3132 0.0079 0.7245
F1 0.0554 0.6785 0.0279
F2 0.0561 0.7999 0.7143
F3 0.1276 0.2925 0.7187
F4 0.2584 0.0021 0.4828
F5 0.3574 0.0103 0.9669
F6 0.4284 0.7146 0.2635
F7 0.4757 0.2440 0.2637
```

Principal peaks in the range 2θ = 5–70°, most intense first:
(hkl)  Position (°2θ)  d_spacing  intensity
1 1 0  20.7  4.298  100.0
0 0 2  21.1  4.207  37.6
1 1 -2  27.5  3.245  27.3
1 1 1  24.6  3.625  21.0
3 1 -1  45.3  2.004  19.8
2 2 -1  41.9  2.157  15.8